1.
# Tb5Pm2HoTh
Computed powder XRD pattern, Cu Kα. Input: a GGA-PBE-relaxed structure.
Neutral-atom scattering factors, no anomalous dispersion.

The 10 most intense peaks (2θ from 15° to 90°), sorted by position:
Position (°2θ)	d_spacing	intensity
26.39	3.377	13
31.19	2.868	36
31.74	2.819	100
32.98	2.716	9
33.94	2.641	9
34.26	2.617	20
41.30	2.186	8
53.17	1.723	12
55.85	1.646	20
62.97	1.476	10

Crystal structure
```
Tb5Pm2HoTh
1.0
2.868 -10.792 0.000
2.868 10.792 0.000
0.000 0.000 9.805
Tb Pm Ho Th
10 4 2 2
Cartesian
2.868 10.473 4.903 Tb
2.868 4.947 7.953 Tb
2.868 4.210 1.966 Tb
2.868 2.216 5.160 Tb
2.868 0.649 2.225 Tb
2.868 -0.649 7.128 Tb
2.868 -2.216 0.257 Tb
2.868 -4.210 6.869 Tb
2.868 -4.947 3.050 Tb
2.868 -10.473 0.000 Tb
2.868 8.310 7.960 Pm
2.868 7.996 1.917 Pm
2.868 -7.996 6.819 Pm
2.868 -8.310 3.058 Pm
2.868 6.684 4.912 Ho
2.868 -6.684 0.009 Ho
2.868 2.061 8.921 Th
2.868 -2.061 4.018 Th
```

---

2.
# Nd2Sm4ThMg
Computed powder XRD pattern, Cu Kα. Input: a GGA-PBE-relaxed structure.
Neutral-atom scattering factors, no anomalous dispersion.

The 10 most intense peaks (2θ from 15° to 90°), sorted by position:
Position (°2θ)	d_spacing	intensity
24.72	3.601	10
31.25	2.862	53
31.67	2.825	100
44.78	2.024	20
46.01	1.973	8
55.89	1.645	40
56.67	1.624	18
66.15	1.413	11
74.07	1.280	9
74.30	1.277	9

Crystal structure
```
Nd2Sm4ThMg
1.0
5.723 0.000 0.000
0.000 5.725 0.000
0.000 0.000 7.890
Nd Sm Th Mg
2 4 1 1
Cartesian
0.000 0.000 0.000 Nd
2.862 2.862 3.945 Nd
0.000 2.862 1.827 Sm
0.000 2.862 6.064 Sm
2.862 0.000 1.842 Sm
2.862 0.000 6.049 Sm
0.000 0.000 3.945 Th
2.862 2.862 0.000 Mg
```

---

3.
# Ce6BiTe3As2
Computed powder XRD pattern, Cu Kα. Input: a GGA-PBE-relaxed structure.
Neutral-atom scattering factors, no anomalous dispersion.

The 10 most intense peaks (2θ from 15° to 90°), sorted by position:
Position (°2θ)	d_spacing	intensity
28.53	3.129	100
40.52	2.226	12
40.79	2.212	49
41.04	2.199	13
50.31	1.814	13
50.75	1.799	13
59.05	1.564	12
66.86	1.399	16
67.22	1.393	6
74.59	1.272	8

Crystal structure
```
Ce6BiTe3As2
1.0
9.648 -2.199 0.000
9.648 2.199 0.000
-2.071 0.000 8.661
Ce Bi Te As
6 1 3 2
Cartesian
-0.343 0.000 2.242 Ce
5.431 0.000 3.721 Ce
4.502 0.000 7.747 Ce
12.722 0.000 0.914 Ce
11.793 0.000 4.940 Ce
17.567 0.000 6.419 Ce
9.648 0.000 0.000 Bi
1.399 0.000 7.211 Te
8.612 0.000 4.331 Te
15.825 0.000 1.450 Te
2.559 0.000 2.911 As
14.665 0.000 5.751 As
```

---

4.
# AcLa6Ni4
Computed powder XRD pattern, Cu Kα. Input: a GGA-PBE-relaxed structure.
Neutral-atom scattering factors, no anomalous dispersion.

The 10 most intense peaks (2θ from 15° to 90°), sorted by position:
Position (°2θ)	d_spacing	intensity
28.45	3.137	38
29.11	3.067	100
31.64	2.828	22
34.70	2.585	13
34.81	2.577	13
36.40	2.468	40
37.81	2.379	15
47.70	1.906	24
52.29	1.750	20
54.81	1.675	13

Crystal structure
```
AcLa6Ni4
1.0
5.171 -5.155 0.000
5.171 5.155 0.000
-5.170 0.000 5.656
Ac La Ni
1 6 4
Cartesian
0.000 0.000 0.000 Ac
2.587 -2.576 5.653 La
0.001 1.968 3.097 La
0.001 -1.968 3.097 La
2.587 2.576 5.653 La
3.204 0.000 2.555 La
7.147 0.000 2.559 La
-1.351 0.000 4.883 Ni
5.172 1.355 0.764 Ni
1.365 0.000 4.887 Ni
5.172 -1.355 0.764 Ni
```